No. 1
# Na3Cd
Computed PXRD pattern, Cu Kα, 1.54184 Å. Input: the PBE geometry in the Materials Project.

Cell and atoms:
```
Na3Cd
1.0
0.000 3.935 3.935
3.935 0.000 3.935
3.935 3.935 0.000
Na Cd
3 1
Direct
0.000 0.000 0.000 Na
0.250 0.250 0.250 Na
0.750 0.750 0.750 Na
0.500 0.500 0.500 Cd
```

Top 10 peaks for 2θ = 15–90°, by angle:
2θ/deg  intensity
19.54  52.5
22.60  27.9
32.17  100.0
37.92  29.1
46.14  17.6
50.56  12.5
51.97  11.4
57.36  35.2
67.31  10.4
76.57  13.9

No. 2
# Na2Cd2O3
Computed PXRD pattern, Cu Kα, 1.54184 Å. Input: the PBE geometry in the Materials Project.

Cell and atoms:
```
Na2Cd2O3
1.0
6.601 0.000 0.000
0.000 5.943 0.000
-2.747 0.000 5.624
Na Cd O
4 4 6
Direct
0.130 0.186 0.369 Na
0.130 0.314 0.869 Na
0.870 0.686 0.131 Na
0.870 0.814 0.631 Na
0.337 0.649 0.577 Cd
0.337 0.851 0.077 Cd
0.663 0.149 0.923 Cd
0.663 0.351 0.423 Cd
0.000 0.000 0.000 O
0.000 0.500 0.500 O
0.326 0.516 0.225 O
0.326 0.984 0.725 O
0.674 0.016 0.275 O
0.674 0.484 0.775 O
```

Top 10 peaks for 2θ = 15–90°, by angle:
2θ/deg  intensity
21.16  89.5
21.76  74.2
32.35  35.4
32.90  56.2
33.78  75.2
34.38  100.0
35.31  58.4
44.06  20.8
53.52  31.5
54.05  21.3

No. 3
# Na2CdO2
Computed PXRD pattern, Cu Kα, 1.54184 Å. Input: the PBE geometry in the Materials Project.

Cell and atoms:
```
Na2CdO2
1.0
9.388 0.000 0.000
-3.105 8.874 0.000
-3.118 -4.446 7.684
Na Cd O
16 8 16
Direct
0.000 0.000 0.000 Na
0.002 0.273 0.818 Na
0.178 0.723 0.995 Na
0.186 0.970 0.779 Na
0.217 0.458 0.226 Na
0.276 0.750 0.544 Na
0.460 0.473 0.537 Na
0.474 0.250 0.237 Na
0.489 0.957 0.003 Na
0.495 0.465 0.049 Na
0.693 0.193 0.502 Na
0.713 0.772 0.027 Na
0.743 0.702 0.508 Na
0.773 0.512 0.805 Na
0.963 0.015 0.506 Na
0.995 0.220 0.305 Na
0.241 0.017 0.313 Cd
0.266 0.497 0.767 Cd
0.449 0.203 0.724 Cd
0.497 0.777 0.275 Cd
0.690 0.959 0.732 Cd
0.758 0.276 0.047 Cd
0.944 0.692 0.257 Cd
0.951 0.509 0.538 Cd
0.199 0.958 0.515 O
0.219 0.721 0.759 O
0.232 0.232 0.273 O
0.270 0.527 0.024 O
0.441 0.978 0.242 O
0.481 0.200 0.978 O
0.483 0.714 0.484 O
0.500 0.476 0.795 O
0.703 0.454 0.520 O
0.716 0.230 0.776 O
0.729 0.740 0.270 O
0.755 0.023 0.009 O
0.939 0.988 0.738 O
0.980 0.771 0.070 O
0.990 0.287 0.562 O
0.997 0.491 0.300 O
```

Top 10 peaks for 2θ = 15–90°, by angle:
2θ/deg  intensity
16.31  54.2
20.04  69.9
23.19  18.2
30.80  100.0
32.96  43.4
33.07  20.3
38.87  48.5
47.31  51.8
47.44  27.4
62.82  22.7

No. 4
# Na2CdO3
Computed PXRD pattern, Cu Kα, 1.54184 Å. Input: the PBE geometry in the Materials Project.

Cell and atoms:
```
Na2CdO3
1.0
2.910 -5.029 0.000
2.910 5.029 0.000
-1.961 0.000 5.468
Na Cd O
4 2 6
Direct
0.000 0.000 0.000 Na
0.162 0.838 0.500 Na
0.500 0.500 0.500 Na
0.838 0.162 0.500 Na
0.334 0.666 0.000 Cd
0.666 0.334 0.000 Cd
0.076 0.433 0.227 O
0.278 0.278 0.769 O
0.433 0.076 0.227 O
0.567 0.924 0.773 O
0.722 0.722 0.231 O
0.924 0.567 0.773 O
```

Top 10 peaks for 2θ = 15–90°, by angle:
2θ/deg  intensity
16.21  89.9
18.44  32.9
20.66  25.5
31.25  44.5
32.70  89.2
37.84  50.5
37.99  100.0
54.70  61.0
65.33  20.3
68.49  21.1

No. 5
# Na2CdO2
Computed PXRD pattern, Cu Kα, 1.54184 Å. Input: the PBE geometry in the Materials Project.

Cell and atoms:
```
Na2CdO2
1.0
7.692 -5.400 0.000
7.692 5.400 0.000
-7.657 0.000 7.700
Na Cd O
16 8 16
Direct
0.094 0.094 0.481 Na
0.123 0.145 0.981 Na
0.147 0.589 0.526 Na
0.182 0.096 0.258 Na
0.351 0.373 0.705 Na
0.411 0.853 0.474 Na
0.414 0.391 0.299 Na
0.598 0.122 0.472 Na
0.609 0.586 0.701 Na
0.627 0.649 0.295 Na
0.652 0.094 0.223 Na
0.855 0.877 0.019 Na
0.878 0.402 0.528 Na
0.904 0.818 0.742 Na
0.906 0.348 0.777 Na
0.906 0.906 0.519 Na
0.101 0.633 0.251 Cd
0.157 0.640 0.001 Cd
0.360 0.843 0.999 Cd
0.367 0.899 0.749 Cd
0.403 0.319 0.985 Cd
0.675 0.132 0.786 Cd
0.681 0.597 0.015 Cd
0.868 0.325 0.214 Cd
0.095 0.328 0.455 O
0.135 0.850 0.242 O
0.150 0.865 0.758 O
0.178 0.409 0.040 O
0.348 0.652 0.500 O
0.382 0.107 0.209 O
0.394 0.117 0.734 O
0.413 0.587 0.000 O
0.591 0.822 0.960 O
0.634 0.365 0.238 O
0.635 0.366 0.762 O
0.672 0.905 0.545 O
0.853 0.147 0.500 O
0.883 0.606 0.266 O
0.893 0.618 0.791 O
0.906 0.094 0.000 O
```

Top 10 peaks for 2θ = 15–90°, by angle:
2θ/deg  intensity
16.42  34.7
19.99  100.0
28.49  43.7
30.77  88.6
30.89  69.4
32.99  36.0
38.92  71.2
47.24  44.4
47.38  39.4
47.50  42.9

No. 6
# NaCdPO4
Computed PXRD pattern, Cu Kα, 1.54184 Å. Input: the PBE geometry in the Materials Project.

Cell and atoms:
```
NaCdPO4
1.0
11.021 0.000 0.000
0.000 5.120 0.000
0.000 0.000 6.607
Na Cd P O
4 4 4 16
Direct
0.005 0.002 0.000 Na
0.495 0.502 0.500 Na
0.505 0.498 0.000 Na
0.995 0.998 0.500 Na
0.214 0.485 0.245 Cd
0.286 0.985 0.745 Cd
0.714 0.015 0.245 Cd
0.786 0.515 0.745 Cd
0.104 0.432 0.742 P
0.396 0.932 0.242 P
0.604 0.068 0.742 P
0.896 0.568 0.242 P
0.029 0.675 0.250 O
0.107 0.734 0.738 O
0.167 0.304 0.553 O
0.174 0.314 0.928 O
0.326 0.814 0.428 O
0.333 0.804 0.053 O
0.393 0.234 0.238 O
0.471 0.175 0.750 O
0.529 0.825 0.250 O
0.607 0.766 0.738 O
0.667 0.196 0.553 O
0.674 0.186 0.928 O
0.826 0.686 0.428 O
0.833 0.696 0.053 O
0.893 0.266 0.238 O
0.971 0.325 0.750 O
```

Top 10 peaks for 2θ = 15–90°, by angle:
2θ/deg  intensity
16.08  34.4
23.42  100.0
26.99  38.5
29.94  43.2
31.58  21.9
32.93  66.0
33.28  30.3
45.59  23.1
47.89  37.2
51.61  34.7

No. 7
# Na2Cd3P4O14
Computed PXRD pattern, Cu Kα, 1.54184 Å. Input: the PBE geometry in the Materials Project.

Cell and atoms:
```
Na2Cd3P4O14
1.0
5.748 0.000 0.000
2.653 6.644 0.000
1.040 1.504 7.769
Na Cd P O
2 3 4 14
Direct
0.091 0.008 0.183 Na
0.909 0.992 0.817 Na
0.311 0.466 0.193 Cd
0.500 0.000 0.500 Cd
0.689 0.534 0.807 Cd
0.153 0.673 0.577 P
0.301 0.268 0.832 P
0.699 0.732 0.168 P
0.847 0.327 0.423 P
0.050 0.266 0.923 O
0.126 0.240 0.355 O
0.183 0.699 0.384 O
0.245 0.430 0.649 O
0.314 0.762 0.655 O
0.442 0.345 0.937 O
0.462 0.068 0.775 O
0.538 0.932 0.225 O
0.558 0.655 0.063 O
0.686 0.238 0.345 O
0.755 0.570 0.351 O
0.817 0.301 0.616 O
0.874 0.760 0.645 O
0.950 0.734 0.077 O
```

Top 10 peaks for 2θ = 15–90°, by angle:
2θ/deg  intensity
16.63  34.7
18.80  36.0
24.34  74.3
28.30  100.0
30.94  66.6
31.32  82.3
31.45  67.5
32.96  43.4
37.84  41.1
40.15  35.8

No. 8
# NaCd3Rh8O16
Computed PXRD pattern, Cu Kα, 1.54184 Å. Input: the PBE geometry in the Materials Project.

Cell and atoms:
```
NaCd3Rh8O16
1.0
9.227 0.000 0.000
0.000 3.118 0.000
-0.048 0.000 11.004
Na Cd Rh O
1 3 8 16
Direct
0.000 0.000 0.000 Na
0.029 0.500 0.504 Cd
0.501 0.000 0.180 Cd
0.530 0.500 0.681 Cd
0.171 0.500 0.240 Rh
0.211 0.500 0.726 Rh
0.315 0.000 0.959 Rh
0.356 0.000 0.438 Rh
0.677 0.500 0.941 Rh
0.712 0.500 0.457 Rh
0.822 0.000 0.224 Rh
0.858 0.000 0.745 Rh
0.070 0.000 0.679 O
0.147 0.000 0.370 O
0.180 0.500 0.911 O
0.229 0.000 0.132 O
0.315 0.500 0.553 O
0.351 0.000 0.774 O
0.378 0.500 0.311 O
0.460 0.500 0.007 O
0.569 0.000 0.505 O
0.651 0.000 0.811 O
0.679 0.500 0.271 O
0.714 0.000 0.056 O
0.815 0.500 0.629 O
0.851 0.000 0.410 O
0.881 0.500 0.867 O
0.958 0.500 0.181 O
```

Top 10 peaks for 2θ = 15–90°, by angle:
2θ/deg  intensity
32.55  63.7
33.31  68.5
33.44  65.4
34.46  100.0
34.73  48.9
48.30  25.6
48.42  33.7
49.87  26.8
59.28  44.4
69.75  31.0